Entry 1:
Starting from a structure optimized by DFT (PBE), the X-ray powder pattern of YCr5Fe7 was simulated for λ = 1.5418 Å (Cu Kα).
Neutral-atom scattering factors, no anomalous dispersion.

Main lines, sorted by position (2θ = 15–90°):
2θ/deg, Rel. int.
43.49, 25
43.74, 100
44.02, 63
49.04, 18
49.46, 34
72.61, 15

Crystal structure
Cell lengths 6.327, 6.327, 6.327 Å; angles 136.03, 98.36, 97.75 degrees
Positions (direct):
Y 0.000 0.000 0.000
Cr 0.362 0.994 0.368
Cr 0.364 0.364 0.000
Cr 0.626 0.994 0.632
Cr 0.628 0.628 0.000
Cr 0.773 0.273 0.500
Fe 0.219 0.719 0.500
Fe 0.222 0.497 0.725
Fe 0.498 0.496 0.503
Fe 0.498 0.995 0.001
Fe 0.771 0.497 0.275
Fe 0.994 0.496 0.999
Fe 0.994 0.995 0.497

***

Entry 2:
Starting from a structure optimized by DFT (PBE), the X-ray powder pattern of NaScCl4 was simulated for λ = 1.5418 Å (Cu Kα).
Neutral-atom scattering factors, no anomalous dispersion.

Main lines, sorted by position (2θ = 15–90°):
2θ/deg, Rel. int.
15.05, 49
20.45, 41
30.14, 100
31.17, 54
39.07, 66
48.36, 34

Crystal structure
Cell lengths 6.351, 15.714, 6.433 Å; angles 90.00, 90.00, 90.00 degrees
Positions (direct):
Na 0.000 0.180 0.250
Na 0.000 0.820 0.750
Na 0.500 0.320 0.750
Na 0.500 0.680 0.250
Sc 0.000 0.430 0.250
Sc 0.000 0.570 0.750
Sc 0.500 0.070 0.750
Sc 0.500 0.930 0.250
Cl 0.221 0.451 0.572
Cl 0.221 0.549 0.072
Cl 0.231 0.323 0.106
Cl 0.231 0.677 0.606
Cl 0.269 0.177 0.606
Cl 0.269 0.823 0.106
Cl 0.279 0.049 0.072
Cl 0.279 0.951 0.572
Cl 0.721 0.049 0.428
Cl 0.721 0.951 0.928
Cl 0.731 0.177 0.894
Cl 0.731 0.823 0.394
Cl 0.769 0.323 0.394
Cl 0.769 0.677 0.894
Cl 0.779 0.451 0.928
Cl 0.779 0.549 0.428

***

Entry 3:
Starting from a structure optimized by DFT (PBE), the X-ray powder pattern of Mn2Ge was simulated for λ = 1.5418 Å (Cu Kα).
Neutral-atom scattering factors, no anomalous dispersion.

Main lines, sorted by position (2θ = 15–90°):
2θ/deg, Rel. int.
28.30, 29
32.79, 23
47.06, 100
55.83, 12
68.75, 15
87.49, 30

Crystal structure
Cell lengths 5.462, 5.462, 5.462 Å; angles 90.00, 90.00, 90.00 degrees
Positions (direct):
Mn 0.000 0.000 0.000
Mn 0.000 0.500 0.500
Mn 0.250 0.250 0.250
Mn 0.250 0.750 0.750
Mn 0.500 0.000 0.500
Mn 0.500 0.500 0.000
Mn 0.750 0.250 0.750
Mn 0.750 0.750 0.250
Ge 0.000 0.000 0.500
Ge 0.000 0.500 0.000
Ge 0.500 0.000 0.000
Ge 0.500 0.500 0.500

***

Entry 4:
Starting from a structure optimized by DFT (PBE), the X-ray powder pattern of Ti2Rh was simulated for λ = 1.5418 Å (Cu Kα).
Neutral-atom scattering factors, no anomalous dispersion.

Main lines, sorted by position (2θ = 15–90°):
2θ/deg, Rel. int.
17.99, 19
30.48, 17
40.18, 100
41.57, 45
72.06, 16
74.91, 29

Crystal structure
Cell lengths 3.072, 3.072, 9.861 Å; angles 90.00, 90.00, 90.00 degrees
Positions (direct):
Ti 0.000 0.000 0.162
Ti 0.000 0.000 0.838
Ti 0.500 0.500 0.338
Ti 0.500 0.500 0.662
Rh 0.000 0.000 0.500
Rh 0.500 0.500 0.000

***

Entry 5:
Starting from a structure optimized by DFT (PBE), the X-ray powder pattern of BaMg14CO16 was simulated for λ = 1.5418 Å (Cu Kα).
Neutral-atom scattering factors, no anomalous dispersion.

Main lines, sorted by position (2θ = 15–90°):
2θ/deg, Rel. int.
35.37, 57
40.13, 100
41.25, 88
41.82, 83
58.91, 54
59.35, 52

Crystal structure
Cell lengths 4.494, 8.640, 8.754 Å; angles 90.00, 90.00, 90.00 degrees
Positions (direct):
Ba 0.000 0.000 0.000
Mg 0.000 0.000 0.500
Mg 0.000 0.260 0.257
Mg 0.000 0.260 0.743
Mg 0.000 0.500 0.500
Mg 0.000 0.740 0.257
Mg 0.000 0.740 0.743
Mg 0.500 0.000 0.264
Mg 0.500 0.000 0.736
Mg 0.500 0.253 0.500
Mg 0.500 0.266 0.000
Mg 0.500 0.500 0.248
Mg 0.500 0.500 0.752
Mg 0.500 0.734 0.000
Mg 0.500 0.747 0.500
C 0.000 0.500 0.000
O 0.000 0.000 0.280
O 0.000 0.000 0.720
O 0.000 0.257 0.500
O 0.000 0.283 0.000
O 0.000 0.500 0.260
O 0.000 0.500 0.740
O 0.000 0.717 0.000
O 0.000 0.743 0.500
O 0.500 0.000 0.000
O 0.500 0.000 0.500
O 0.500 0.250 0.248
O 0.500 0.250 0.752
O 0.500 0.500 0.000
O 0.500 0.500 0.500
O 0.500 0.750 0.248
O 0.500 0.750 0.752

***

Entry 6:
Starting from a structure optimized by DFT (PBE), the X-ray powder pattern of NaFeAs was simulated for λ = 1.5418 Å (Cu Kα).
Neutral-atom scattering factors, no anomalous dispersion.

Main lines, sorted by position (2θ = 15–90°):
2θ/deg, Rel. int.
26.11, 64
34.57, 73
41.73, 100
46.28, 65
51.53, 42
59.03, 30

Crystal structure
Cell lengths 3.924, 3.924, 6.919 Å; angles 90.00, 90.00, 90.00 degrees
Positions (direct):
Na 0.250 0.250 0.152
Na 0.750 0.750 0.848
Fe 0.250 0.750 0.500
Fe 0.750 0.250 0.500
As 0.250 0.250 0.686
As 0.750 0.750 0.314

***

Entry 7:
Starting from a structure optimized by DFT (PBE), the X-ray powder pattern of Li2US3 was simulated for λ = 1.5418 Å (Cu Kα).
Neutral-atom scattering factors, no anomalous dispersion.

Main lines, sorted by position (2θ = 15–90°):
2θ/deg, Rel. int.
16.09, 41
27.20, 71
33.18, 100
36.35, 34
47.26, 36
48.01, 35

Crystal structure
Cell lengths 6.661, 6.661, 6.535 Å; angles 99.81, 99.81, 119.92 degrees
Positions (direct):
Li 0.000 0.000 0.000
Li 0.165 0.835 0.500
Li 0.500 0.500 0.500
Li 0.835 0.165 0.500
U 0.333 0.667 0.000
U 0.667 0.333 0.000
S 0.083 0.421 0.248
S 0.256 0.256 0.749
S 0.421 0.083 0.248
S 0.579 0.917 0.752
S 0.744 0.744 0.251
S 0.917 0.579 0.752

***

Entry 8:
Starting from a structure optimized by DFT (PBE), the X-ray powder pattern of MgFe2Cu6SnS8 was simulated for λ = 1.5418 Å (Cu Kα).
Neutral-atom scattering factors, no anomalous dispersion.

Main lines, sorted by position (2θ = 15–90°):
2θ/deg, Rel. int.
28.21, 100
32.73, 18
46.87, 75
47.00, 16
55.50, 12
55.68, 26

Crystal structure
Cell lengths 7.733, 7.746, 5.495 Å; angles 90.00, 90.00, 90.00 degrees
Positions (direct):
Mg 0.000 0.000 0.000
Fe 0.000 0.500 0.492
Fe 0.000 0.500 0.972
Cu 0.000 0.000 0.500
Cu 0.260 0.259 0.971
Cu 0.260 0.741 0.971
Cu 0.500 0.500 0.483
Cu 0.740 0.259 0.971
Cu 0.740 0.741 0.971
Sn 0.500 0.000 0.437
S 0.000 0.260 0.237
S 0.000 0.740 0.237
S 0.248 0.500 0.724
S 0.250 0.000 0.734
S 0.500 0.274 0.213
S 0.500 0.726 0.213
S 0.750 0.000 0.734
S 0.752 0.500 0.724

***

Entry 9:
Starting from a structure optimized by DFT (PBE), the X-ray powder pattern of Ca5P3O12F was simulated for λ = 1.5418 Å (Cu Kα).
Neutral-atom scattering factors, no anomalous dispersion.

Main lines, sorted by position (2θ = 15–90°):
2θ/deg, Rel. int.
25.67, 37
31.60, 100
31.97, 41
32.74, 59
46.41, 30
49.13, 37

Crystal structure
Cell lengths 9.475, 9.475, 6.940 Å; angles 90.00, 90.00, 120.00 degrees
Positions (direct):
Ca 0.004 0.757 0.000
Ca 0.243 0.248 0.000
Ca 0.248 0.004 0.500
Ca 0.333 0.667 0.249
Ca 0.333 0.667 0.750
Ca 0.667 0.333 0.250
Ca 0.667 0.333 0.749
Ca 0.752 0.996 0.000
Ca 0.757 0.752 0.500
Ca 0.996 0.243 0.500
P 0.028 0.631 0.500
P 0.369 0.398 0.500
P 0.398 0.028 0.000
P 0.602 0.972 0.500
P 0.631 0.602 0.000
P 0.972 0.369 0.000
O 0.083 0.743 0.320
O 0.084 0.743 0.680
O 0.121 0.533 0.499
O 0.159 0.485 0.000
O 0.257 0.340 0.320
O 0.257 0.341 0.680
O 0.327 0.841 0.000
O 0.340 0.083 0.820
O 0.341 0.084 0.180
O 0.412 0.879 0.499
O 0.467 0.588 0.499
O 0.485 0.327 0.500
O 0.515 0.673 0.000
O 0.533 0.412 0.999
O 0.588 0.121 0.999
O 0.659 0.916 0.680
O 0.660 0.917 0.320
O 0.673 0.159 0.500
O 0.743 0.659 0.180
O 0.743 0.660 0.820
O 0.841 0.515 0.500
O 0.879 0.467 0.999
O 0.916 0.257 0.180
O 0.917 0.257 0.820
F 0.000 0.000 0.017
F 0.000 0.000 0.517

***

Entry 10:
Starting from a structure optimized by DFT (PBE), the X-ray powder pattern of RbAcO3 was simulated for λ = 1.5418 Å (Cu Kα).
Neutral-atom scattering factors, no anomalous dispersion.

Main lines, sorted by position (2θ = 15–90°):
2θ/deg, Rel. int.
19.14, 31
27.20, 100
38.85, 30
48.07, 44
56.11, 20
76.95, 23

Crystal structure
Cell lengths 4.636, 4.636, 4.636 Å; angles 90.00, 90.00, 90.00 degrees
Positions (direct):
Rb 0.000 0.000 0.000
Ac 0.500 0.500 0.500
O 0.000 0.500 0.500
O 0.500 0.000 0.500
O 0.500 0.500 0.000

***

Entry 11:
Starting from a structure optimized by DFT (PBE), the X-ray powder pattern of LiInRh was simulated for λ = 1.5418 Å (Cu Kα).
Neutral-atom scattering factors, no anomalous dispersion.

Main lines, sorted by position (2θ = 15–90°):
2θ/deg, Rel. int.
28.43, 83
39.67, 100
41.60, 81
58.83, 31
74.61, 30
80.61, 23

Crystal structure
Cell lengths 4.342, 4.342, 5.703 Å; angles 90.00, 90.00, 120.00 degrees
Positions (direct):
Li 0.333 0.667 0.250
Li 0.667 0.333 0.750
In 0.333 0.667 0.750
In 0.667 0.333 0.250
Rh 0.000 0.000 0.000
Rh 0.000 0.000 0.500

***

Entry 12:
Starting from a structure optimized by DFT (PBE), the X-ray powder pattern of Tm2Mg2O5 was simulated for λ = 1.5418 Å (Cu Kα).
Neutral-atom scattering factors, no anomalous dispersion.

Main lines, sorted by position (2θ = 15–90°):
2θ/deg, Rel. int.
23.15, 69
32.96, 46
34.28, 100
41.78, 52
47.31, 32
59.72, 41

Crystal structure
Cell lengths 3.843, 3.843, 7.141 Å; angles 90.00, 90.00, 90.00 degrees
Positions (direct):
Tm 0.000 0.000 0.000
Tm 0.000 0.000 0.500
Mg 0.500 0.500 0.236
Mg 0.500 0.500 0.764
O 0.000 0.500 0.197
O 0.000 0.500 0.803
O 0.500 0.000 0.197
O 0.500 0.000 0.803
O 0.500 0.500 0.500